# Mg4Ga6Ir7
Calculated powder X-ray diffraction pattern, Cu Kα (weighted mean of Kα1 and Kα2). Input: a DFT-relaxed cell (GGA-PBE, Alexandria).
Peak positions follow from Bragg's law for the DFT cell and can differ from measured ones.

Structure:
a b c (Å): 7.0859 7.0859 7.0859
angles (deg): 109.47 109.47 109.47
Fractional coordinates of all 17 atoms:
Mg 0.0000 0.0000 0.5000
Mg 0.0000 0.5000 0.0000
Mg 0.5000 0.0000 0.0000
Mg 0.5000 0.5000 0.5000
Ga 0.0000 0.3059 0.3059
Ga 0.0000 0.6941 0.6941
Ga 0.3059 0.0000 0.3059
Ga 0.3059 0.3059 0.0000
Ga 0.6941 0.0000 0.6941
Ga 0.6941 0.6941 0.0000
Ir 0.0000 0.0000 0.0000
Ir 0.2500 0.5000 0.7500
Ir 0.2500 0.7500 0.5000
Ir 0.5000 0.2500 0.7500
Ir 0.5000 0.7500 0.2500
Ir 0.7500 0.2500 0.5000
Ir 0.7500 0.5000 0.2500

Main lines, by intensity (10° ≤ 2θ ≤ 90°):
| Position (°2θ) | I/Imax |
| --- | --- |
| 38.10 | 100 |
| 44.28 | 78 |
| 41.29 | 71 |
| 21.72 | 68 |
| 26.69 | 49 |
| 64.42 | 44 |
| 52.45 | 32 |
| 77.36 | 29 |


# YEr2Sc5
Calculated powder X-ray diffraction pattern, Cu Kα (weighted mean of Kα1 and Kα2). Input: a DFT-relaxed cell (GGA-PBE, Alexandria).
Peak positions follow from Bragg's law for the DFT cell and can differ from measured ones.

Structure:
a b c (Å): 7.9712 6.8452 6.3323
angles (deg): 74.33 55.77 49.90
Fractional coordinates of all 8 atoms:
Y 0.0000 0.0000 0.0000
Er 0.4256 0.9131 0.0869
Er 0.9131 0.4256 0.5744
Sc 0.0067 0.5008 0.9933
Sc 0.4158 0.4158 0.0842
Sc 0.4978 0.4978 0.5022
Sc 0.5008 0.0067 0.4992
Sc 0.9158 0.9158 0.5842

Main lines, by intensity (10° ≤ 2θ ≤ 90°):
| Position (°2θ) | I/Imax |
| --- | --- |
| 34.63 | 100 |
| 30.15 | 30 |
| 33.64 | 23 |
| 22.43 | 23 |
| 64.75 | 20 |
| 45.80 | 18 |
| 60.80 | 18 |
| 53.56 | 18 |


# NaRu
Calculated powder X-ray diffraction pattern, Cu Kα (weighted mean of Kα1 and Kα2). Input: a DFT-relaxed cell (GGA-PBE, Alexandria).
Peak positions follow from Bragg's law for the DFT cell and can differ from measured ones.

Structure:
a b c (Å): 5.8779 5.8779 8.0616
angles (deg): 90.00 90.00 90.00
Fractional coordinates of all 16 atoms:
Na 0.0273 0.1846 0.3644
Na 0.1846 0.0273 0.6356
Na 0.3154 0.5273 0.6144
Na 0.4727 0.6846 0.8856
Na 0.5273 0.3154 0.3856
Na 0.6846 0.4727 0.1144
Na 0.8154 0.9727 0.1356
Na 0.9727 0.8154 0.8644
Ru 0.0793 0.3314 0.9212
Ru 0.1686 0.5793 0.1712
Ru 0.3314 0.0793 0.0788
Ru 0.4207 0.8314 0.3288
Ru 0.5793 0.1686 0.8288
Ru 0.6686 0.9207 0.5788
Ru 0.8314 0.4207 0.6712
Ru 0.9207 0.6686 0.4212

Main lines, by intensity (10° ≤ 2θ ≤ 90°):
| Position (°2θ) | I/Imax |
| --- | --- |
| 18.68 | 100 |
| 35.93 | 68 |
| 40.99 | 51 |
| 37.89 | 46 |
| 39.95 | 31 |
| 21.38 | 29 |
| 47.71 | 23 |
| 45.75 | 19 |


# Tl3Bi4Pb4
Calculated powder X-ray diffraction pattern, Cu Kα (weighted mean of Kα1 and Kα2). Input: a DFT-relaxed cell (GGA-PBE, Alexandria).
Peak positions follow from Bragg's law for the DFT cell and can differ from measured ones.

Structure:
a b c (Å): 3.4494 5.6003 18.5515
angles (deg): 81.32 89.84 89.83
Fractional coordinates of all 11 atoms:
Tl 0.0000 0.0000 0.0000
Tl 0.0385 0.3657 0.2698
Tl 0.9615 0.6343 0.7302
Bi 0.4858 0.8177 0.3653
Bi 0.4905 0.4555 0.0890
Bi 0.5095 0.5445 0.9110
Bi 0.5142 0.1823 0.6347
Pb 0.2732 0.7278 0.5458
Pb 0.4588 0.0915 0.8176
Pb 0.5412 0.9085 0.1824
Pb 0.7268 0.2722 0.4542

Main lines, by intensity (10° ≤ 2θ ≤ 90°):
| Position (°2θ) | I/Imax |
| --- | --- |
| 31.23 | 100 |
| 31.96 | 35 |
| 31.35 | 26 |
| 32.51 | 24 |
| 56.49 | 19 |
| 54.84 | 10 |
| 43.32 | 10 |
| 65.12 | 9 |


# Sb2I2F11
Calculated powder X-ray diffraction pattern, Cu Kα (weighted mean of Kα1 and Kα2). Input: a DFT-relaxed cell (GGA-PBE, Alexandria).
Peak positions follow from Bragg's law for the DFT cell and can differ from measured ones.

Structure:
a b c (Å): 7.9245 7.9245 5.5144
angles (deg): 102.12 102.12 65.69
Fractional coordinates of all 15 atoms:
Sb 0.1503 0.1503 0.4603
Sb 0.8497 0.8497 0.5397
I 0.4321 0.4326 0.1366
I 0.5674 0.5679 0.8634
F 0.0288 0.3324 0.7189
F 0.0501 0.7440 0.7900
F 0.2560 0.9499 0.2100
F 0.2936 0.2877 0.4281
F 0.3345 0.0167 0.7078
F 0.6676 0.9712 0.2811
F 0.7123 0.7064 0.5719
F 0.7327 0.0537 0.7793
F 0.9463 0.2673 0.2207
F 0.9833 0.6655 0.2922
F 0.9956 0.0044 0.5000

Main lines, by intensity (10° ≤ 2θ ≤ 90°):
| Position (°2θ) | I/Imax |
| --- | --- |
| 22.11 | 100 |
| 20.66 | 78 |
| 25.34 | 55 |
| 23.14 | 50 |
| 37.08 | 31 |
| 39.21 | 26 |
| 31.99 | 24 |
| 19.32 | 21 |


# Ag5Te3
Calculated powder X-ray diffraction pattern, Cu Kα (weighted mean of Kα1 and Kα2). Input: a DFT-relaxed cell (GGA-PBE, Alexandria).
Peak positions follow from Bragg's law for the DFT cell and can differ from measured ones.

Structure:
a b c (Å): 6.8429 8.4449 8.4745
angles (deg): 80.60 66.23 66.11
Fractional coordinates of all 16 atoms:
Ag 0.0000 0.0000 0.0000
Ag 0.0005 0.4576 0.5383
Ag 0.2315 0.9999 0.5371
Ag 0.2501 0.2287 0.7687
Ag 0.2709 0.4599 0.9968
Ag 0.4990 0.4598 0.5408
Ag 0.5016 0.9971 0.9972
Ag 0.7299 0.9973 0.5404
Ag 0.7507 0.2279 0.7687
Ag 0.7704 0.4575 0.9988
Te 0.0004 0.7276 0.2687
Te 0.0563 0.6121 0.7687
Te 0.4396 0.8451 0.7687
Te 0.4997 0.7289 0.2686
Te 0.5570 0.2284 0.1511
Te 0.9391 0.2284 0.3862

Main lines, by intensity (10° ≤ 2θ ≤ 90°):
| Position (°2θ) | I/Imax |
| --- | --- |
| 35.01 | 100 |
| 32.73 | 89 |
| 22.33 | 49 |
| 42.30 | 31 |
| 43.90 | 30 |
| 36.30 | 30 |
| 44.03 | 29 |
| 36.95 | 25 |


# GdThTlPd
Calculated powder X-ray diffraction pattern, Cu Kα (weighted mean of Kα1 and Kα2). Input: a DFT-relaxed cell (GGA-PBE, Alexandria).
Peak positions follow from Bragg's law for the DFT cell and can differ from measured ones.

Structure:
a b c (Å): 5.2876 5.2876 5.2876
angles (deg): 60.00 60.00 60.00
Fractional coordinates of all 4 atoms:
Gd 0.0000 0.0000 0.0000
Th 0.5000 0.5000 0.5000
Tl 0.2500 0.2500 0.2500
Pd 0.7500 0.7500 0.7500

Main lines, by intensity (10° ≤ 2θ ≤ 90°):
| Position (°2θ) | I/Imax |
| --- | --- |
| 33.91 | 100 |
| 60.67 | 38 |
| 48.71 | 18 |
| 81.39 | 17 |
| 71.35 | 12 |
| 20.57 | 6 |
| 39.99 | 4 |
| 53.41 | 2 |


# Ta2Ir3Rh
Calculated powder X-ray diffraction pattern, Cu Kα (weighted mean of Kα1 and Kα2). Input: a DFT-relaxed cell (GGA-PBE, Alexandria).
Peak positions follow from Bragg's law for the DFT cell and can differ from measured ones.

Structure:
a b c (Å): 8.3115 8.3115 8.3115
angles (deg): 119.35 119.35 91.12
Fractional coordinates of all 24 atoms:
Ta 0.2781 0.7202 0.5578
Ta 0.2798 0.3376 0.5578
Ta 0.2798 0.7219 0.9422
Ta 0.3376 0.2798 0.0578
Ta 0.6624 0.7202 0.9422
Ta 0.7202 0.2781 0.0578
Ta 0.7202 0.6624 0.4422
Ta 0.7219 0.2798 0.4422
Ir 0.0000 0.5000 0.5000
Ir 0.0906 0.3406 0.1813
Ir 0.0906 0.9094 0.7500
Ir 0.3406 0.0906 0.6813
Ir 0.3406 0.6594 0.2500
Ir 0.5000 0.0000 0.0000
Ir 0.5000 0.5000 0.0000
Ir 0.5000 0.5000 0.5000
Ir 0.6594 0.3406 0.7500
Ir 0.6594 0.9094 0.3187
Ir 0.9094 0.0906 0.2500
Ir 0.9094 0.6594 0.8187
Rh 0.0064 0.7564 0.2500
Rh 0.2436 0.9936 0.2500
Rh 0.7564 0.0064 0.7500
Rh 0.9936 0.2436 0.7500

Main lines, by intensity (10° ≤ 2θ ≤ 90°):
| Position (°2θ) | I/Imax |
| --- | --- |
| 39.48 | 100 |
| 43.56 | 59 |
| 37.62 | 58 |
| 43.11 | 47 |
| 39.72 | 25 |
| 45.87 | 22 |
| 21.17 | 19 |
| 13.01 | 19 |